The following is a theoretical X-ray diffraction stick pattern of LaCr2Si2C. It was derived from a DFT-relaxed cell (GGA-PBE, the Materials Project), using λ = 1.5418 Å (Cu Kα).

Unit cell a=4.0149 b=4.0149 c=5.4314 alpha=90.00 beta=90.00 gamma=90.00
Space group P4/mmm (No. 123)
Unique sites:
La 0.0000 0.0000 0.0000 x1
Cr 0.0000 0.5000 0.5000 x2
Si 0.5000 0.5000 0.2383 x2
C 0.0000 0.0000 0.5000 x1

Principal peaks in the range 2θ = 15–90°, by angle:
hkl 1 0 0, 22.1 deg, d = 4.015 Å, I 24
hkl 1 0 1, 27.6 deg, d = 3.229 Å, I 50
hkl 0 0 2, 33.0 deg, d = 2.716 Å, I 22
hkl 1 1 1, 35.7 deg, d = 2.516 Å, I 100
hkl 1 0 2, 40.1 deg, d = 2.249 Å, I 52
hkl 2 0 0, 45.2 deg, d = 2.007 Å, I 43
hkl 2 1 1, 53.8 deg, d = 1.705 Å, I 17
hkl 2 0 2, 57.1 deg, d = 1.614 Å, I 16
hkl 1 1 3, 60.7 deg, d = 1.526 Å, I 17
hkl 2 1 2, 62.0 deg, d = 1.498 Å, I 28
hkl 2 2 0, 65.8 deg, d = 1.419 Å, I 13
hkl 3 1 1, 77.2 deg, d = 1.236 Å, I 19

=====

The following is a theoretical X-ray diffraction stick pattern of Mg6CrC. It was derived from a DFT-relaxed cell (GGA-PBE, the Materials Project), using λ = 1.5418 Å (Cu Kα).

Unit cell a=4.6305 b=6.1742 c=10.4714 alpha=90.00 beta=90.00 gamma=90.00
Space group Amm2 (No. 38)
Unique sites:
Mg 0.0000 0.0000 0.0000 x2
Mg 0.0000 0.0000 0.4942 x2
Mg 0.0000 0.2407 0.2609 x4
Mg 0.5000 0.2501 0.0852 x4
Cr 0.5000 0.0000 0.8376 x2
C 0.5000 0.0000 0.3452 x2

Principal peaks in the range 2θ = 15–90°, by angle:
hkl 0 1 1, 16.7 deg, d = 5.318 Å, I 19
hkl 1 1 1, 25.5 deg, d = 3.492 Å, I 19
hkl 0 2 2, 33.7 deg, d = 2.659 Å, I 26
hkl 0 0 4, 34.3 deg, d = 2.618 Å, I 12
hkl 2 0 0, 38.9 deg, d = 2.315 Å, I 34
hkl 1 2 2, 39.1 deg, d = 2.306 Å, I 100
hkl 1 0 4, 39.5 deg, d = 2.279 Å, I 48
hkl 2 2 2, 52.4 deg, d = 1.746 Å, I 14
hkl 0 2 6, 61.0 deg, d = 1.519 Å, I 16
hkl 3 2 2, 70.5 deg, d = 1.335 Å, I 15
hkl 1 4 4, 74.2 deg, d = 1.278 Å, I 13
hkl 2 2 6, 74.7 deg, d = 1.270 Å, I 16

=====

The following is a theoretical X-ray diffraction stick pattern of Mg6CrC. It was derived from a DFT-relaxed cell (GGA-PBE, the Materials Project), using λ = 1.5418 Å (Cu Kα).

Unit cell a=3.1112 b=9.7040 c=10.3442 alpha=90.00 beta=90.00 gamma=90.00
Space group Amm2 (No. 38)
Unique sites:
Mg 0.0000 0.0000 0.0000 x2
Mg 0.0000 0.1601 0.2739 x4
Mg 0.5000 0.0000 0.7373 x2
Mg 0.5000 0.2325 0.5304 x4
Cr 0.0000 0.0000 0.4920 x2
C 0.5000 0.0000 0.3864 x2

Principal peaks in the range 2θ = 15–90°, by angle:
hkl 0 0 2, 17.1 deg, d = 5.172 Å, I 21
hkl 0 2 0, 18.3 deg, d = 4.852 Å, I 13
hkl 0 3 1, 28.9 deg, d = 3.087 Å, I 16
hkl 1 1 1, 31.4 deg, d = 2.848 Å, I 16
hkl 1 2 0, 34.2 deg, d = 2.619 Å, I 12
hkl 0 0 4, 34.7 deg, d = 2.586 Å, I 36
hkl 0 4 0, 37.1 deg, d = 2.426 Å, I 16
hkl 0 3 3, 38.1 deg, d = 2.359 Å, I 17
hkl 1 2 2, 38.5 deg, d = 2.337 Å, I 100
hkl 0 4 2, 41.1 deg, d = 2.196 Å, I 28
hkl 1 4 2, 50.9 deg, d = 1.794 Å, I 12
hkl 1 2 6, 64.7 deg, d = 1.440 Å, I 13

=====

The following is a theoretical X-ray diffraction stick pattern of NaMnCrC6N6. It was derived from a DFT-relaxed cell (GGA-PBE, the Materials Project), using λ = 1.5418 Å (Cu Kα).

Unit cell a=10.2079 b=10.2079 c=10.2079 alpha=90.00 beta=90.00 gamma=90.00
Space group F-43m (No. 216)
Unique sites:
Na 0.0000 0.0000 0.0000 x4
Mn 0.2500 0.2500 0.2500 x4
Cr 0.2500 0.2500 0.7500 x4
C 0.0542 0.2500 0.7500 x24
N 0.0612 0.2500 0.2500 x24

Principal peaks in the range 2θ = 15–90°, by angle:
hkl 1 1 1, 15.0 deg, d = 5.894 Å, I 5
hkl 2 0 0, 17.4 deg, d = 5.104 Å, I 100
hkl 2 2 0, 24.7 deg, d = 3.609 Å, I 41
hkl 4 0 0, 35.2 deg, d = 2.552 Å, I 37
hkl 4 2 0, 39.5 deg, d = 2.283 Å, I 20
hkl 4 2 2, 43.4 deg, d = 2.084 Å, I 7
hkl 4 4 0, 50.6 deg, d = 1.805 Å, I 15
hkl 6 0 0, 53.9 deg, d = 1.701 Å, I 9
hkl 6 2 0, 57.1 deg, d = 1.614 Å, I 16
hkl 6 4 0, 66.0 deg, d = 1.416 Å, I 8
hkl 6 4 2, 68.8 deg, d = 1.364 Å, I 11
hkl 6 6 0, 79.7 deg, d = 1.203 Å, I 5

=====

The following is a theoretical X-ray diffraction stick pattern of Cr22MoC6. It was derived from a DFT-relaxed cell (GGA-PBE, the Materials Project), using λ = 1.5418 Å (Cu Kα).

Unit cell a=10.6095 b=10.6095 c=10.6095 alpha=90.00 beta=90.00 gamma=90.00
Space group Fm-3m (No. 225)
Unique sites:
Cr 0.0000 0.1725 0.1725 x48
Cr 0.1182 0.1182 0.3818 x32
Cr 0.2500 0.2500 0.2500 x8
Mo 0.0000 0.0000 0.0000 x4
C 0.0000 0.0000 0.2755 x24

Principal peaks in the range 2θ = 15–90°, by angle:
hkl 3 1 1, 27.9 deg, d = 3.199 Å, I 7
hkl 2 2 2, 29.2 deg, d = 3.063 Å, I 4
hkl 4 2 0, 37.9 deg, d = 2.372 Å, I 12
hkl 4 2 2, 41.7 deg, d = 2.166 Å, I 31
hkl 3 3 3, 44.4 deg, d = 2.042 Å, I 100
hkl 4 4 0, 48.5 deg, d = 1.876 Å, I 24
hkl 5 3 1, 50.9 deg, d = 1.793 Å, I 17
hkl 6 0 0, 51.7 deg, d = 1.768 Å, I 13
hkl 6 2 2, 57.6 deg, d = 1.599 Å, I 4
hkl 6 6 0, 76.1 deg, d = 1.250 Å, I 21
hkl 5 5 5, 78.0 deg, d = 1.225 Å, I 13
hkl 9 3 1, 87.8 deg, d = 1.112 Å, I 4

=====

The following is a theoretical X-ray diffraction stick pattern of CrCN2. It was derived from a DFT-relaxed cell (GGA-PBE, the Materials Project), using λ = 1.5418 Å (Cu Kα).

Unit cell a=3.2251 b=3.2251 c=9.5585 alpha=90.00 beta=90.00 gamma=120.00
Space group P6_3/mmc (No. 194)
Unique sites:
Cr 0.0000 0.0000 0.0000 x2
C 0.3333 0.6667 0.2500 x2
N 0.3333 0.6667 0.1200 x4

Principal peaks in the range 2θ = 15–90°, by angle:
hkl 0 0 2, 18.6 deg, d = 4.779 Å, I 58
hkl 1 0 0, 32.0 deg, d = 2.793 Å, I 27
hkl 1 0 1, 33.4 deg, d = 2.681 Å, I 27
hkl 1 0 2, 37.3 deg, d = 2.411 Å, I 100
hkl 0 0 4, 37.6 deg, d = 2.390 Å, I 7
hkl 1 0 4, 50.2 deg, d = 1.816 Å, I 43
hkl 1 1 0, 57.1 deg, d = 1.613 Å, I 27
hkl 1 1 2, 60.6 deg, d = 1.528 Å, I 13
hkl 1 0 6, 67.7 deg, d = 1.384 Å, I 15
hkl 2 0 2, 70.2 deg, d = 1.340 Å, I 12
hkl 1 1 4, 70.4 deg, d = 1.337 Å, I 6
hkl 2 0 4, 79.5 deg, d = 1.206 Å, I 9

=====

The following is a theoretical X-ray diffraction stick pattern of CrC3N3. It was derived from a DFT-relaxed cell (GGA-PBE, the Materials Project), using λ = 1.5418 Å (Cu Kα).

Unit cell a=6.9827 b=12.0889 c=12.4113 alpha=90.00 beta=90.00 gamma=90.00
Space group Cmcm (No. 63)
Unique sites:
Cr 0.0000 0.0000 0.0000 x4
Cr 0.0000 0.3330 0.2500 x4
C 0.0000 0.1322 0.0928 x8
C 0.1987 0.0662 0.5929 x16
N 0.0000 0.2098 0.1506 x8
N 0.1853 0.3951 0.1505 x16

Principal peaks in the range 2θ = 15–90°, by angle:
hkl 1 1 1, 16.3 deg, d = 5.435 Å, I 100
hkl 0 2 2, 20.5 deg, d = 4.330 Å, I 67
hkl 2 0 0, 25.5 deg, d = 3.491 Å, I 14
hkl 2 2 2, 33.0 deg, d = 2.718 Å, I 14
hkl 0 4 3, 36.8 deg, d = 2.441 Å, I 17
hkl 2 0 4, 38.8 deg, d = 2.319 Å, I 20
hkl 2 4 1, 40.1 deg, d = 2.247 Å, I 8
hkl 1 5 2, 42.1 deg, d = 2.144 Å, I 7
hkl 4 0 0, 52.4 deg, d = 1.745 Å, I 6
hkl 0 6 4, 54.3 deg, d = 1.690 Å, I 10
hkl 3 5 2, 56.9 deg, d = 1.619 Å, I 6
hkl 1 5 6, 60.4 deg, d = 1.534 Å, I 10

=====

The following is a theoretical X-ray diffraction stick pattern of Nb3Cr3C. It was derived from a DFT-relaxed cell (GGA-PBE, the Materials Project), using λ = 1.5418 Å (Cu Kα).

Unit cell a=11.5649 b=11.5649 c=11.5649 alpha=90.00 beta=90.00 gamma=90.00
Space group Fd-3m (No. 227, origin choice 2)
Unique sites:
Nb 0.0674 0.3750 0.3750 x48
Cr 0.0000 0.0000 0.5000 x16
Cr 0.0465 0.0465 0.7035 x32
C 0.0000 0.0000 0.0000 x16

Principal peaks in the range 2θ = 15–90°, by angle:
hkl 4 0 0, 30.9 deg, d = 2.891 Å, I 9
hkl 3 3 1, 33.8 deg, d = 2.653 Å, I 21
hkl 4 2 2, 38.1 deg, d = 2.361 Å, I 45
hkl 3 3 3, 40.5 deg, d = 2.226 Å, I 100
hkl 4 4 0, 44.3 deg, d = 2.044 Å, I 27
hkl 4 4 2, 47.2 deg, d = 1.927 Å, I 6
hkl 5 5 1, 56.9 deg, d = 1.619 Å, I 9
hkl 5 5 3, 61.6 deg, d = 1.506 Å, I 5
hkl 7 3 3, 66.1 deg, d = 1.413 Å, I 10
hkl 6 6 0, 68.9 deg, d = 1.363 Å, I 41
hkl 5 5 5, 70.5 deg, d = 1.335 Å, I 9
hkl 9 3 3, 83.1 deg, d = 1.162 Å, I 16